Entry 1:
The following is a theoretical powder diffraction line list of Ca7TeN6. It was derived from the GGA-PBE geometry in Alexandria, using CuKα.
No peak broadening, texture or thermal motion is included.

Lattice parameters (Å, degrees): 6.537 12.002 12.325 90.00 90.00 90.00
Space group Ibam (No. 72)
Symmetry-distinct sites (fractional):
Ca: 0.000 0.000 0.250 x4
Ca: 0.130 0.282 0.130 x16
Ca: 0.217 0.048 0.000 x8
Te: 0.000 0.500 0.250 x4
N: 0.111 0.148 0.500 x8
N: 0.214 0.379 0.307 x16

Top 10 peaks for 2θ from 10° to 80°, by angle:
d 6.162, I 28
d 5.741, I 28
d 4.201, I 59
d 3.001, I 25
d 2.888, I 31
d 2.741, I 100
d 2.663, I 28
d 2.602, I 62
d 2.154, I 20
d 2.081, I 32


Entry 2:
The following is a theoretical powder diffraction line list of PmIrOs. It was derived from the GGA-PBE geometry in Alexandria, using CuKα.
No peak broadening, texture or thermal motion is included.

Lattice parameters (Å, degrees): 5.209 5.532 7.831 90.00 90.00 90.00
Space group Imma (No. 74)
Symmetry-distinct sites (fractional):
Pm: 0.000 0.250 0.124 x4
Ir: 0.000 0.000 0.500 x4
Os: 0.250 0.250 0.750 x4

Top 10 peaks for 2θ from 10° to 80°, by angle:
d 4.518, I 13
d 2.724, I 24
d 2.361, I 32
d 2.333, I 92
d 2.258, I 100
d 2.168, I 41
d 1.506, I 15
d 1.478, I 15
d 1.445, I 21
d 1.362, I 36


Please write out number 1 again, unchanged.
The following is a theoretical powder diffraction line list of Ca7TeN6. It was derived from the GGA-PBE geometry in Alexandria, using CuKα.
No peak broadening, texture or thermal motion is included.

Lattice parameters (Å, degrees): 6.537 12.002 12.325 90.00 90.00 90.00
Space group Ibam (No. 72)
Symmetry-distinct sites (fractional):
Ca: 0.000 0.000 0.250 x4
Ca: 0.130 0.282 0.130 x16
Ca: 0.217 0.048 0.000 x8
Te: 0.000 0.500 0.250 x4
N: 0.111 0.148 0.500 x8
N: 0.214 0.379 0.307 x16

Top 10 peaks for 2θ from 10° to 80°, by angle:
d 6.162, I 28
d 5.741, I 28
d 4.201, I 59
d 3.001, I 25
d 2.888, I 31
d 2.741, I 100
d 2.663, I 28
d 2.602, I 62
d 2.154, I 20
d 2.081, I 32


Copy entry 2 word for word.
The following is a theoretical powder diffraction line list of PmIrOs. It was derived from the GGA-PBE geometry in Alexandria, using CuKα.
No peak broadening, texture or thermal motion is included.

Lattice parameters (Å, degrees): 5.209 5.532 7.831 90.00 90.00 90.00
Space group Imma (No. 74)
Symmetry-distinct sites (fractional):
Pm: 0.000 0.250 0.124 x4
Ir: 0.000 0.000 0.500 x4
Os: 0.250 0.250 0.750 x4

Top 10 peaks for 2θ from 10° to 80°, by angle:
d 4.518, I 13
d 2.724, I 24
d 2.361, I 32
d 2.333, I 92
d 2.258, I 100
d 2.168, I 41
d 1.506, I 15
d 1.478, I 15
d 1.445, I 21
d 1.362, I 36